Theoretical powder diffractogram of Li3Pa6S14 for CuKα, from a cell relaxed with GGA-PBE.
Intensities are scaled so that the largest is 100.

Top 12 peaks for 2θ = 10–90°, low angle first:
d 4.846, I = 27; d 4.712, I = 64; d 4.196, I = 29; d 3.690, I = 32; d 3.378, I = 100; d 3.172, I = 40; d 2.511, I = 28; d 2.423, I = 26; d 2.356, I = 28; d 2.155, I = 43; d 2.119, I = 42; d 1.743, I = 30

Cell and atoms:
a b c (Å): 9.6910 9.6910 5.6940
angles (deg): 90.00 90.00 120.00
Fractional positions:
Li: 0.0000 0.0000 0.0000
Li: 0.3333 0.6667 0.1474
Li: 0.6667 0.3333 0.4972
Pa: 0.1031 0.2943 0.4095
Pa: 0.1911 0.8969 0.4095
Pa: 0.4748 0.4358 0.9064
Pa: 0.5642 0.0390 0.9064
Pa: 0.7057 0.8089 0.4095
Pa: 0.9610 0.5252 0.9064
S: 0.0000 0.0000 0.6069
S: 0.0810 0.5658 0.3887
S: 0.1809 0.4153 0.8973
S: 0.2344 0.8191 0.8973
S: 0.2531 0.1572 0.1636
S: 0.4133 0.1754 0.6620
S: 0.4342 0.5152 0.3887
S: 0.4848 0.9190 0.3887
S: 0.5847 0.7656 0.8973
S: 0.6667 0.3333 0.1038
S: 0.7621 0.5867 0.6620
S: 0.8246 0.2379 0.6620
S: 0.8428 0.0958 0.1636
S: 0.9042 0.7469 0.1636